# 1
Simulated powder XRD pattern of GdHoSi2Ir4 for Cu Kα (λ = 1.5418 Å), from a PBE-relaxed structure.
Peak positions follow from Bragg's law for the DFT cell and can differ from measured ones.

Structure:
```
8
Lattice="7.033 0.000 0.000 0.000 1.911 5.078 0.000 -1.911 5.078" Properties=species:S:1:pos:R:3 pbc="T T T"
Gd 0.000 0.000 0.000
Ho 3.517 0.000 1.172
Si 0.000 0.000 2.846
Si 3.517 0.000 8.480
Ir 1.420 0.000 7.151
Ir 2.111 0.000 4.185
Ir 4.922 0.000 4.185
Ir 5.613 0.000 7.151
```

Main lines, in order of rising 2θ (2θ from 5° to 70°):
two_theta	d [Å]	I/Imax
28.0	3.188	23
35.4	2.535	92
35.8	2.508	100
37.7	2.386	53
42.5	2.128	40
44.0	2.057	48
47.6	1.911	31
65.5	1.424	29
65.7	1.422	23
69.3	1.356	23



# 2
Simulated powder XRD pattern of PrZr for Cu Kα (λ = 1.5418 Å), from a PBE-relaxed structure.
Peak positions follow from Bragg's law for the DFT cell and can differ from measured ones.

Structure:
```
12
Lattice="6.856 0.000 0.000 0.000 5.609 0.000 -1.715 0.000 8.900" Properties=species:S:1:pos:R:3 pbc="T T T"
Pr -0.001 1.402 1.106
Pr 0.093 1.402 6.780
Pr 1.815 4.207 2.067
Pr 3.326 1.402 6.834
Pr 5.047 4.207 2.120
Pr 5.142 4.207 7.794
Zr 0.118 4.207 4.899
Zr 1.833 1.402 3.880
Zr 1.719 4.207 7.919
Zr 3.422 1.402 0.981
Zr 3.307 4.207 5.020
Zr 5.022 1.402 4.001
```

Main lines, in order of rising 2θ (2θ from 5° to 70°):
two_theta	d [Å]	I/Imax
30.1	2.968	23
31.9	2.805	28
34.2	2.623	100
44.4	2.039	13
44.5	2.038	4
53.5	1.713	17
58.3	1.582	21
63.6	1.462	20
65.0	1.435	10
65.0	1.434	4



What did the second record say?
Simulated powder XRD pattern of PrZr for Cu Kα (λ = 1.5418 Å), from a PBE-relaxed structure.
Peak positions follow from Bragg's law for the DFT cell and can differ from measured ones.

Structure:
```
12
Lattice="6.856 0.000 0.000 0.000 5.609 0.000 -1.715 0.000 8.900" Properties=species:S:1:pos:R:3 pbc="T T T"
Pr -0.001 1.402 1.106
Pr 0.093 1.402 6.780
Pr 1.815 4.207 2.067
Pr 3.326 1.402 6.834
Pr 5.047 4.207 2.120
Pr 5.142 4.207 7.794
Zr 0.118 4.207 4.899
Zr 1.833 1.402 3.880
Zr 1.719 4.207 7.919
Zr 3.422 1.402 0.981
Zr 3.307 4.207 5.020
Zr 5.022 1.402 4.001
```

Main lines, in order of rising 2θ (2θ from 5° to 70°):
two_theta	d [Å]	I/Imax
30.1	2.968	23
31.9	2.805	28
34.2	2.623	100
44.4	2.039	13
44.5	2.038	4
53.5	1.713	17
58.3	1.582	21
63.6	1.462	20
65.0	1.435	10
65.0	1.434	4



Copy entry 2 word for word.
Simulated powder XRD pattern of PrZr for Cu Kα (λ = 1.5418 Å), from a PBE-relaxed structure.
Peak positions follow from Bragg's law for the DFT cell and can differ from measured ones.

Structure:
```
12
Lattice="6.856 0.000 0.000 0.000 5.609 0.000 -1.715 0.000 8.900" Properties=species:S:1:pos:R:3 pbc="T T T"
Pr -0.001 1.402 1.106
Pr 0.093 1.402 6.780
Pr 1.815 4.207 2.067
Pr 3.326 1.402 6.834
Pr 5.047 4.207 2.120
Pr 5.142 4.207 7.794
Zr 0.118 4.207 4.899
Zr 1.833 1.402 3.880
Zr 1.719 4.207 7.919
Zr 3.422 1.402 0.981
Zr 3.307 4.207 5.020
Zr 5.022 1.402 4.001
```

Main lines, in order of rising 2θ (2θ from 5° to 70°):
two_theta	d [Å]	I/Imax
30.1	2.968	23
31.9	2.805	28
34.2	2.623	100
44.4	2.039	13
44.5	2.038	4
53.5	1.713	17
58.3	1.582	21
63.6	1.462	20
65.0	1.435	10
65.0	1.434	4



Copy entry 2 word for word.
Simulated powder XRD pattern of PrZr for Cu Kα (λ = 1.5418 Å), from a PBE-relaxed structure.
Peak positions follow from Bragg's law for the DFT cell and can differ from measured ones.

Structure:
```
12
Lattice="6.856 0.000 0.000 0.000 5.609 0.000 -1.715 0.000 8.900" Properties=species:S:1:pos:R:3 pbc="T T T"
Pr -0.001 1.402 1.106
Pr 0.093 1.402 6.780
Pr 1.815 4.207 2.067
Pr 3.326 1.402 6.834
Pr 5.047 4.207 2.120
Pr 5.142 4.207 7.794
Zr 0.118 4.207 4.899
Zr 1.833 1.402 3.880
Zr 1.719 4.207 7.919
Zr 3.422 1.402 0.981
Zr 3.307 4.207 5.020
Zr 5.022 1.402 4.001
```

Main lines, in order of rising 2θ (2θ from 5° to 70°):
two_theta	d [Å]	I/Imax
30.1	2.968	23
31.9	2.805	28
34.2	2.623	100
44.4	2.039	13
44.5	2.038	4
53.5	1.713	17
58.3	1.582	21
63.6	1.462	20
65.0	1.435	10
65.0	1.434	4